# 1
The following is a calculated PXRD pattern of SnBiSb. It was derived from the PBE geometry in Alexandria, using Cu Kα (λ = 1.5418 Å).

Structural model:
Lattice parameters (Å, degrees): 3.1999 3.1999 18.3855 90.00 90.00 90.00
Atoms (fractional coordinates):
Sn 0.0000 0.0000 0.0000
Sn 0.5000 0.5000 0.5000
Bi 0.0000 0.0000 0.8222
Bi 0.5000 0.5000 0.3222
Sb 0.0000 0.0000 0.6543
Sb 0.5000 0.5000 0.1543

Peak list (10 most intense, 2θ = 10–90°, sorted by position)
| 2theta | I/Imax |
| --- | --- |
| 28.31 | 100 |
| 29.14 | 44 |
| 37.25 | 64 |
| 39.84 | 40 |
| 44.63 | 25 |
| 50.12 | 40 |
| 62.71 | 17 |
| 65.41 | 23 |
| 65.85 | 18 |
| 70.63 | 20 |

=====

# 2
The following is a calculated PXRD pattern of Tb3Tm5As8. It was derived from the PBE geometry in Alexandria, using Cu Kα (λ = 1.5418 Å).

Structural model:
Lattice parameters (Å, degrees): 8.1820 8.1820 8.1820 60.01 60.01 60.01
Atoms (fractional coordinates):
Tb 0.0000 0.5000 0.5000
Tb 0.5000 0.0000 0.5000
Tb 0.5000 0.5000 0.0000
Tm 0.0000 0.0000 0.0000
Tm 0.0000 0.0000 0.5000
Tm 0.0000 0.5000 0.0000
Tm 0.5000 0.0000 0.0000
Tm 0.5000 0.5000 0.5000
As 0.2468 0.7500 0.7500
As 0.2484 0.2484 0.2484
As 0.2500 0.2500 0.7532
As 0.2500 0.7532 0.2500
As 0.7500 0.2468 0.7500
As 0.7500 0.7500 0.2468
As 0.7516 0.7516 0.7516
As 0.7532 0.2500 0.2500

Peak list (10 most intense, 2θ = 10–90°, sorted by position)
| 2theta | I/Imax |
| --- | --- |
| 26.69 | 24 |
| 30.91 | 100 |
| 44.28 | 74 |
| 52.45 | 12 |
| 54.98 | 26 |
| 64.41 | 12 |
| 71.01 | 5 |
| 73.15 | 34 |
| 81.50 | 25 |
| 87.63 | 4 |

=====

# 3
The following is a calculated PXRD pattern of MnBeTcPCl. It was derived from the PBE geometry in Alexandria, using Cu Kα (λ = 1.5418 Å).

Structural model:
Lattice parameters (Å, degrees): 3.0059 3.0642 16.1521 90.00 90.00 90.00
Atoms (fractional coordinates):
Mn 0.0000 0.0000 0.0000
Mn 0.0000 0.5000 0.5000
Be 0.5000 0.0000 0.7543
Be 0.5000 0.5000 0.2543
Tc 0.0000 0.0000 0.1624
Tc 0.0000 0.5000 0.6624
P 0.5000 0.0000 0.5915
P 0.5000 0.5000 0.0915
Cl 0.0000 0.0000 0.8545
Cl 0.0000 0.5000 0.3545

Peak list (10 most intense, 2θ = 10–90°, sorted by position)
| 2theta | I/Imax |
| --- | --- |
| 10.96 | 100 |
| 29.70 | 68 |
| 33.28 | 21 |
| 33.65 | 12 |
| 40.58 | 23 |
| 42.50 | 62 |
| 45.22 | 39 |
| 49.45 | 26 |
| 58.76 | 15 |
| 78.58 | 14 |

=====

# 4
The following is a calculated PXRD pattern of TiRhS2. It was derived from the PBE geometry in Alexandria, using Cu Kα (λ = 1.5418 Å).

Structural model:
Lattice parameters (Å, degrees): 3.3598 3.3598 18.7169 90.00 90.00 120.00
Atoms (fractional coordinates):
Ti 0.0000 0.0000 0.0000
Ti 0.3333 0.6667 0.6667
Ti 0.6667 0.3333 0.3333
Rh 0.0000 0.0000 0.1524
Rh 0.3333 0.6667 0.8190
Rh 0.6667 0.3333 0.4857
S 0.0000 0.0000 0.5826
S 0.0000 0.0000 0.7464
S 0.3333 0.6667 0.2492
S 0.3333 0.6667 0.4131
S 0.6667 0.3333 0.0798
S 0.6667 0.3333 0.9159

Peak list (10 most intense, 2θ = 10–90°, sorted by position)
| 2theta | I/Imax |
| --- | --- |
| 14.20 | 47 |
| 28.62 | 19 |
| 31.11 | 47 |
| 32.22 | 97 |
| 39.22 | 100 |
| 46.10 | 80 |
| 50.03 | 19 |
| 54.63 | 56 |
| 74.21 | 18 |
| 84.82 | 24 |